This entry pairs a crystal structure of Tb9ErMg2 with its simulated powder diffraction line list. Radiation: copper Kα. Structure: a crystal structure in Alexandria, relaxed with PBE.

Cell and atoms:
```
data_Tb9ErMg2
_cell_length_a 4.9463
_cell_length_b 4.9463
_cell_length_c 14.9062
_cell_angle_alpha 90.00
_cell_angle_beta 90.00
_cell_angle_gamma 90.00
_symmetry_space_group_name_H-M 'P 4/m m m'
_symmetry_Int_Tables_number 123
_symmetry_space_group_name_Hall '-P 4 2'
loop_
_atom_site_label
_atom_site_type_symbol
_atom_site_fract_x
_atom_site_fract_y
_atom_site_fract_z
Tb1 Tb 0.0000 0.0000 0.0000
Tb2 Tb 0.0000 0.0000 0.3359
Tb3 Tb 0.0000 0.5000 0.1690
Tb4 Tb 0.0000 0.5000 0.5000
Er1 Er 0.5000 0.5000 0.0000
Mg1 Mg 0.5000 0.5000 0.3368
```

Top 10 peaks for 5 to 70 degrees two-theta, in order of rising 2θ:
2θ (°)  I/Imax
17.91  7
25.43  6
31.27  100
36.16  17
36.33  34
52.19  24
52.31  12
62.00  14
62.22  28
65.24  12

***

This entry pairs a crystal structure of K2Rb6Hg with its simulated powder diffraction line list. Radiation: copper Kα. Structure: a crystal structure in Alexandria, relaxed with PBE.

Cell and atoms:
```
data_K2Rb6Hg
_cell_length_a 5.1912
_cell_length_b 21.2741
_cell_length_c 12.2276
_cell_angle_alpha 90.00
_cell_angle_beta 90.00
_cell_angle_gamma 90.00
_symmetry_space_group_name_H-M 'A m m 2'
_symmetry_Int_Tables_number 38
_symmetry_space_group_name_Hall 'A 2 -2'
loop_
_atom_site_label
_atom_site_type_symbol
_atom_site_fract_x
_atom_site_fract_y
_atom_site_fract_z
K1 K 0.0000 0.1684 0.0000
Rb1 Rb 0.0000 0.0000 0.7350
Rb2 Rb 0.0000 0.1163 0.3799
Rb3 Rb 0.5000 0.0000 0.1157
Rb4 Rb 0.5000 0.1868 0.6872
Hg1 Hg 0.5000 0.0000 0.4998
```

Top 10 peaks for 5 to 70 degrees two-theta, in order of rising 2θ:
2θ (°)  I/Imax
8.33  100
22.16  40
22.45  66
23.98  71
25.17  50
28.11  69
30.58  18
34.56  17
40.90  26
43.23  23